Simulated powder diffractogram of NbZn3Ga3 for Cu Ka, from the PBE geometry in the Materials Project.

Structural model:
Lattice parameters (Å, degrees): 5.643 5.643 5.643 58.08 58.08 58.08
Atoms (fractional coordinates):
Nb 0.000 0.000 0.000
Zn 0.000 0.000 0.500
Zn 0.000 0.500 0.000
Zn 0.500 0.000 0.000
Ga 0.000 0.500 0.500
Ga 0.500 0.000 0.500
Ga 0.500 0.500 0.000

The 10 most intense peaks (2θ from 5° to 70°), in order of rising 2θ:
| two_theta | I/Imax |
| --- | --- |
| 19.0 | 9 |
| 19.8 | 20 |
| 37.2 | 4 |
| 38.1 | 7 |
| 38.5 | 42 |
| 40.1 | 100 |
| 46.2 | 66 |
| 51.4 | 4 |
| 66.3 | 21 |
| 68.5 | 19 |



Simulated powder diffractogram of Li2UI6 for Cu Ka, from the PBE geometry in the Materials Project.

Structural model:
Lattice parameters (Å, degrees): 7.460 7.460 14.562 90.00 90.00 120.00
Atoms (fractional coordinates):
Li 0.000 0.000 0.250
Li 0.000 0.000 0.750
Li 0.333 0.667 0.250
Li 0.667 0.333 0.750
U 0.333 0.667 0.750
U 0.667 0.333 0.250
I 0.003 0.336 0.631
I 0.003 0.667 0.869
I 0.333 0.336 0.869
I 0.333 0.997 0.631
I 0.336 0.003 0.131
I 0.336 0.333 0.369
I 0.664 0.667 0.631
I 0.664 0.997 0.869
I 0.667 0.003 0.369
I 0.667 0.664 0.131
I 0.997 0.333 0.131
I 0.997 0.664 0.369

The 10 most intense peaks (2θ from 5° to 70°), in order of rising 2θ:
| two_theta | I/Imax |
| --- | --- |
| 12.2 | 18 |
| 15.0 | 31 |
| 24.5 | 12 |
| 26.9 | 100 |
| 34.4 | 42 |
| 42.0 | 31 |
| 44.5 | 27 |
| 50.5 | 17 |
| 67.4 | 15 |
| 67.7 | 14 |



Simulated powder diffractogram of AlCo3 for Cu Ka, from the PBE geometry in the Materials Project.

Structural model:
Lattice parameters (Å, degrees): 5.074 5.074 4.086 90.00 90.00 120.00
Atoms (fractional coordinates):
Al 0.333 0.667 0.250
Al 0.667 0.333 0.750
Co 0.165 0.330 0.750
Co 0.165 0.835 0.750
Co 0.330 0.165 0.250
Co 0.670 0.835 0.750
Co 0.835 0.165 0.250
Co 0.835 0.670 0.250

The 10 most intense peaks (2θ from 5° to 70°), in order of rising 2θ:
| two_theta | I/Imax |
| --- | --- |
| 20.2 | 6 |
| 29.9 | 9 |
| 35.4 | 4 |
| 41.1 | 25 |
| 44.3 | 27 |
| 47.0 | 100 |
| 49.2 | 1 |
| 58.0 | 2 |
| 60.1 | 3 |
| 62.0 | 14 |



Simulated powder diffractogram of Na2OsO4 for Cu Ka, from the PBE geometry in the Materials Project.

Structural model:
Lattice parameters (Å, degrees): 9.667 9.667 3.202 90.00 90.00 120.00
Atoms (fractional coordinates):
Na 0.000 0.000 0.000
Na 0.000 0.694 0.500
Na 0.306 0.306 0.500
Na 0.333 0.667 0.500
Na 0.667 0.333 0.500
Na 0.694 0.000 0.500
Os 0.000 0.329 0.000
Os 0.329 0.000 0.000
Os 0.671 0.671 0.000
O 0.000 0.194 0.500
O 0.000 0.457 0.500
O 0.194 0.000 0.500
O 0.216 0.433 0.000
O 0.217 0.784 0.000
O 0.433 0.216 0.000
O 0.457 0.000 0.500
O 0.543 0.543 0.500
O 0.567 0.783 0.000
O 0.783 0.567 0.000
O 0.784 0.217 0.000
O 0.806 0.806 0.500

The 10 most intense peaks (2θ from 5° to 70°), in order of rising 2θ:
| two_theta | I/Imax |
| --- | --- |
| 18.4 | 100 |
| 27.9 | 9 |
| 32.1 | 36 |
| 33.6 | 51 |
| 37.2 | 12 |
| 43.0 | 16 |
| 47.1 | 25 |
| 49.9 | 12 |
| 57.2 | 9 |
| 58.1 | 26 |



Simulated powder diffractogram of Cs2KLaF6 for Cu Ka, from the PBE geometry in the Materials Project.

Structural model:
Lattice parameters (Å, degrees): 6.977 6.977 6.977 60.00 60.00 60.00
Atoms (fractional coordinates):
Cs 0.250 0.250 0.250
Cs 0.750 0.750 0.750
K 0.000 0.000 0.000
La 0.500 0.500 0.500
F 0.264 0.264 0.736
F 0.264 0.736 0.264
F 0.264 0.736 0.736
F 0.736 0.264 0.264
F 0.736 0.264 0.736
F 0.736 0.736 0.264

The 10 most intense peaks (2θ from 5° to 70°), in order of rising 2θ:
| two_theta | I/Imax |
| --- | --- |
| 15.6 | 15 |
| 25.5 | 100 |
| 30.0 | 7 |
| 31.4 | 10 |
| 36.4 | 38 |
| 45.0 | 42 |
| 47.9 | 4 |
| 52.5 | 25 |
| 59.2 | 20 |
| 65.5 | 8 |



Simulated powder diffractogram of HfCuGe2 for Cu Ka, from the PBE geometry in the Materials Project.

Structural model:
Lattice parameters (Å, degrees): 3.796 3.796 9.129 90.00 90.00 90.00
Atoms (fractional coordinates):
Hf 0.250 0.250 0.237
Hf 0.750 0.750 0.763
Cu 0.250 0.750 0.500
Cu 0.750 0.250 0.500
Ge 0.250 0.250 0.677
Ge 0.250 0.750 0.000
Ge 0.750 0.250 0.000
Ge 0.750 0.750 0.323

The 10 most intense peaks (2θ from 5° to 70°), in order of rising 2θ:
| two_theta | I/Imax |
| --- | --- |
| 25.4 | 26 |
| 30.6 | 11 |
| 37.9 | 20 |
| 38.9 | 100 |
| 39.5 | 15 |
| 46.4 | 7 |
| 47.9 | 32 |
| 55.9 | 12 |
| 62.7 | 9 |
| 63.8 | 15 |



Simulated powder diffractogram of Ho2GaNi2 for Cu Ka, from the PBE geometry in the Materials Project.

Structural model:
Lattice parameters (Å, degrees): 5.326 5.326 5.326 133.59 119.89 79.17
Atoms (fractional coordinates):
Ho 0.202 0.202 0.000
Ho 0.798 0.798 0.000
Ga 0.500 0.000 0.500
Ni 0.232 0.500 0.732
Ni 0.768 0.500 0.268

The 10 most intense peaks (2θ from 5° to 70°), in order of rising 2θ:
| two_theta | I/Imax |
| --- | --- |
| 27.0 | 42 |
| 33.6 | 16 |
| 34.9 | 100 |
| 36.9 | 33 |
| 39.3 | 28 |
| 40.3 | 27 |
| 41.6 | 42 |
| 43.1 | 30 |
| 58.0 | 18 |
| 60.5 | 22 |



Simulated powder diffractogram of Sr2CeHfO6 for Cu Ka, from the PBE geometry in the Materials Project.

Structural model:
Lattice parameters (Å, degrees): 8.484 8.484 8.484 90.00 90.00 90.00
Atoms (fractional coordinates):
Sr 0.250 0.250 0.250
Sr 0.250 0.250 0.750
Sr 0.250 0.750 0.250
Sr 0.250 0.750 0.750
Sr 0.750 0.250 0.250
Sr 0.750 0.250 0.750
Sr 0.750 0.750 0.250
Sr 0.750 0.750 0.750
Ce 0.000 0.000 0.000
Ce 0.000 0.500 0.500
Ce 0.500 0.000 0.500
Ce 0.500 0.500 0.000
Hf 0.000 0.000 0.500
Hf 0.000 0.500 0.000
Hf 0.500 0.000 0.000
Hf 0.500 0.500 0.500
O 0.036 0.543 0.759
O 0.036 0.957 0.741
O 0.043 0.241 0.536
O 0.043 0.259 0.964
O 0.241 0.536 0.043
O 0.241 0.964 0.457
O 0.259 0.536 0.457
O 0.259 0.964 0.043
O 0.457 0.241 0.964
O 0.457 0.259 0.536
O 0.464 0.543 0.741
O 0.464 0.957 0.759
O 0.536 0.043 0.241
O 0.536 0.457 0.259
O 0.543 0.741 0.464
O 0.543 0.759 0.036
O 0.741 0.036 0.957
O 0.741 0.464 0.543
O 0.759 0.036 0.543
O 0.759 0.464 0.957
O 0.957 0.741 0.036
O 0.957 0.759 0.464
O 0.964 0.043 0.259
O 0.964 0.457 0.241

The 10 most intense peaks (2θ from 5° to 70°), in order of rising 2θ:
| two_theta | I/Imax |
| --- | --- |
| 18.1 | 2 |
| 20.9 | 16 |
| 29.8 | 100 |
| 35.1 | 1 |
| 36.7 | 1 |
| 42.6 | 28 |
| 48.0 | 7 |
| 52.9 | 45 |
| 61.9 | 17 |
| 66.1 | 3 |